Entry 1:
Calculated powder diffraction line list
Compound: La4Tb2Tm
Radiation: Cu Kα (weighted mean of Kα1 and Kα2)
Structure: a DFT-relaxed cell (GGA-PBE, Alexandria)
Intensities are scaled so that the largest is 100.

Largest 10 diffraction maxima, most intense first, 2θ from 15° to 90°:
| Position (°2θ) | I/Imax | (hkl) |
| --- | --- | --- |
| 29.8 | 100 | 1 7 -1 |
| 31.1 | 65 | 2 0 0 |
| 31.7 | 29 | 1 5 1 |
| 36.5 | 29 | 1 7 1 |
| 30.4 | 27 | 0 2 2 |
| 31.9 | 22 | 2 2 0 |
| 49.8 | 21 | 3 7 -1 |
| 54.3 | 16 | 0 14 1 |
| 28.2 | 15 | 1 3 -2 |
| 59.7 | 14 | 2 14 -1 |

Cell and atoms:
```
data_La4Tb2Tm
_cell_length_a 6.543
_cell_length_b 24.637
_cell_length_c 6.881
_cell_angle_alpha 90.00
_cell_angle_beta 118.36
_cell_angle_gamma 90.00
_symmetry_space_group_name_H-M 'C 1 c 1'
_symmetry_Int_Tables_number 9
loop_
_symmetry_equiv_pos_as_xyz
'x,y,z'
'x,-y,z+1/2'
'x+1/2,y+1/2,z'
'x+1/2,-y+1/2,z+1/2'
loop_
_atom_site_label
_atom_site_fract_x
_atom_site_fract_y
_atom_site_fract_z
_atom_site_occupancy
La1 0.000 0.019 0.000 1
La2 0.087 0.304 0.239 1
La3 0.141 0.269 0.783 1
La4 0.489 0.054 0.546 1
Tb1 0.069 0.408 0.601 1
Tb2 0.111 0.158 0.185 1
Tm1 0.040 0.125 0.643 1
```



Entry 2:
Calculated powder diffraction line list
Compound: LaTb8Tm4
Radiation: Cu Kα (weighted mean of Kα1 and Kα2)
Structure: a DFT-relaxed cell (GGA-PBE, Alexandria)
Intensities are scaled so that the largest is 100.

Largest 10 diffraction maxima, most intense first, 2θ from 15° to 90°:
| Position (°2θ) | I/Imax | (hkl) |
| --- | --- | --- |
| 31.3 | 100 | 0 2 4 |
| 32.9 | 41 | 2 0 5 |
| 39.0 | 32 | 2 0 8 |
| 29.6 | 30 | 0 0 9 |
| 50.1 | 30 | 2 2 0 |
| 59.3 | 22 | 2 2 9 |
| 28.5 | 18 | 0 2 1 |
| 52.6 | 18 | 0 2 13 |
| 60.3 | 14 | 4 0 4 |
| 82.1 | 10 | 2 4 4 |

Cell and atoms:
```
data_LaTb8Tm4
_cell_length_a 7.2792
_cell_length_b 7.2792
_cell_length_c 27.1485
_cell_angle_alpha 90.00
_cell_angle_beta 90.00
_cell_angle_gamma 120.00
_symmetry_space_group_name_H-M 'R -3 m'
_symmetry_Int_Tables_number 166
_symmetry_space_group_name_Hall '-R 3 2"'
loop_
_atom_site_label
_atom_site_fract_x
_atom_site_fract_y
_atom_site_fract_z
_atom_site_occupancy
La1 0.0000 0.0000 0.0000 1
Tb1 0.0000 0.0000 0.2807 1
Tb2 0.0344 0.5172 0.2673 1
Tm1 0.0000 0.0000 0.5000 1
Tm2 0.0000 0.5000 0.5000 1
```



Entry 3:
Calculated powder diffraction line list
Compound: La3Tb7Tm
Radiation: Cu Kα (weighted mean of Kα1 and Kα2)
Structure: a DFT-relaxed cell (GGA-PBE, Alexandria)
Intensities are scaled so that the largest is 100.

Largest 10 diffraction maxima, most intense first, 2θ from 15° to 90°:
| Position (°2θ) | I/Imax | (hkl) |
| --- | --- | --- |
| 31.0 | 100 | 1 1 -2 |
| 30.6 | 97 | 0 2 2 |
| 30.9 | 76 | 2 1 1 |
| 32.7 | 66 | -2 1 1 |
| 37.3 | 61 | 1 3 0 |
| 57.4 | 26 | 4 0 0 |
| 50.6 | 23 | 3 -1 2 |
| 54.2 | 20 | 0 3 -3 |
| 63.6 | 19 | 0 5 -1 |
| 63.7 | 19 | 2 4 -2 |

Cell and atoms:
```
data_La3Tb7Tm
_cell_length_a 6.432
_cell_length_b 7.742
_cell_length_c 7.757
_cell_angle_alpha 81.93
_cell_angle_beta 87.12
_cell_angle_gamma 87.19
_symmetry_space_group_name_H-M 'P -1'
_symmetry_Int_Tables_number 2
loop_
_symmetry_equiv_pos_as_xyz
'x,y,z'
'-x,-y,-z'
loop_
_atom_site_label
_atom_site_fract_x
_atom_site_fract_y
_atom_site_fract_z
_atom_site_occupancy
La1 0.000 0.000 0.000 1
La2 0.500 0.179 0.821 1
Tb1 0.236 0.569 0.906 1
Tb2 0.236 0.906 0.569 1
Tb3 0.289 0.241 0.241 1
Tb4 0.500 0.500 0.500 1
Tm1 0.000 0.500 0.500 1
```



Entry 4:
Calculated powder diffraction line list
Compound: La7TbTm3
Radiation: Cu Kα (weighted mean of Kα1 and Kα2)
Structure: a DFT-relaxed cell (GGA-PBE, Alexandria)
Intensities are scaled so that the largest is 100.

Largest 10 diffraction maxima, most intense first, 2θ from 15° to 90°:
| Position (°2θ) | I/Imax | (hkl) |
| --- | --- | --- |
| 32.0 | 100 | 1 3 2 |
| 31.7 | 88 | 0 4 0 |
| 29.8 | 65 | 2 0 0 |
| 30.7 | 34 | 0 0 4 |
| 43.3 | 26 | 2 0 4 |
| 54.3 | 22 | 3 3 2 |
| 44.0 | 17 | 2 4 0 |
| 59.9 | 17 | 1 2 7 |
| 24.2 | 15 | 0 1 3 |
| 54.1 | 15 | 3 2 3 |

Cell and atoms:
```
data_La7TbTm3
_cell_length_a 5.993
_cell_length_b 11.313
_cell_length_c 11.658
_cell_angle_alpha 90.00
_cell_angle_beta 90.00
_cell_angle_gamma 90.00
_symmetry_space_group_name_H-M 'I m m m'
_symmetry_Int_Tables_number 71
_symmetry_space_group_name_Hall '-I 2 2'
loop_
_atom_site_label
_atom_site_fract_x
_atom_site_fract_y
_atom_site_fract_z
_atom_site_occupancy
La1 0.000 0.000 0.000 1
La2 0.000 0.208 0.500 1
La3 0.000 0.308 0.213 1
Tb1 0.000 0.500 0.500 1
Tm1 0.000 0.000 0.294 1
Tm2 0.000 0.500 0.000 1
```



Entry 5:
Calculated powder diffraction line list
Compound: LaTb7Tm4
Radiation: Cu Kα (weighted mean of Kα1 and Kα2)
Structure: a DFT-relaxed cell (GGA-PBE, Alexandria)
Intensities are scaled so that the largest is 100.

Largest 10 diffraction maxima, most intense first, 2θ from 15° to 90°:
| Position (°2θ) | I/Imax | (hkl) |
| --- | --- | --- |
| 32.1 | 100 | 1 2 -1 |
| 33.8 | 92 | 1 2 2 |
| 31.3 | 52 | 0 0 3 |
| 61.1 | 46 | 3 2 4 |
| 51.0 | 40 | 3 2 1 |
| 29.0 | 37 | 2 0 1 |
| 55.0 | 20 | 1 2 -4 |
| 58.4 | 20 | 1 2 5 |
| 29.6 | 18 | 2 0 0 |
| 62.6 | 16 | 4 0 3 |

Cell and atoms:
```
data_LaTb7Tm4
_cell_length_a 6.196
_cell_length_b 7.162
_cell_length_c 8.827
_cell_angle_alpha 89.97
_cell_angle_beta 76.43
_cell_angle_gamma 89.98
_symmetry_space_group_name_H-M 'P -1'
_symmetry_Int_Tables_number 2
loop_
_symmetry_equiv_pos_as_xyz
'x,y,z'
'-x,-y,-z'
loop_
_atom_site_label
_atom_site_fract_x
_atom_site_fract_y
_atom_site_fract_z
_atom_site_occupancy
La1 0.000 0.000 0.000 1
Tb1 0.000 0.500 0.000 1
Tb2 0.224 0.000 0.336 1
Tb3 0.279 0.748 0.663 1
Tb4 0.500 0.253 0.000 1
Tm1 0.220 0.500 0.336 1
Tm2 0.278 0.253 0.664 1
```



Entry 6:
Calculated powder diffraction line list
Compound: La12Tb6Tm
Radiation: Cu Kα (weighted mean of Kα1 and Kα2)
Structure: a DFT-relaxed cell (GGA-PBE, Alexandria)
Intensities are scaled so that the largest is 100.

Largest 10 diffraction maxima, most intense first, 2θ from 15° to 90°:
| Position (°2θ) | I/Imax | (hkl) |
| --- | --- | --- |
| 31.6 | 100 | 4 1 0 |
| 32.9 | 64 | 0 3 3 |
| 28.1 | 49 | 1 1 3 |
| 35.1 | 43 | 2 2 3 |
| 30.1 | 29 | 3 1 2 |
| 51.1 | 25 | 7 -2 3 |
| 28.8 | 25 | 4 0 1 |
| 62.4 | 20 | 5 -4 6 |
| 50.0 | 14 | 3 5 1 |
| 52.3 | 14 | 0 0 6 |

Cell and atoms:
```
data_La12Tb6Tm
_cell_length_a 14.9835
_cell_length_b 14.9835
_cell_length_c 10.4978
_cell_angle_alpha 90.00
_cell_angle_beta 90.00
_cell_angle_gamma 120.00
_symmetry_space_group_name_H-M 'R -3'
_symmetry_Int_Tables_number 148
_symmetry_space_group_name_Hall '-R 3'
loop_
_atom_site_label
_atom_site_fract_x
_atom_site_fract_y
_atom_site_fract_z
_atom_site_occupancy
La1 0.0426 0.7865 0.0714 1
La2 0.0664 0.8365 0.4228 1
Tb1 0.0469 0.8504 0.7593 1
Tm1 0.0000 0.0000 0.0000 1
```



Entry 7:
Calculated powder diffraction line list
Compound: La6Tb2Tm5
Radiation: Cu Kα (weighted mean of Kα1 and Kα2)
Structure: a DFT-relaxed cell (GGA-PBE, Alexandria)
Intensities are scaled so that the largest is 100.

Largest 10 diffraction maxima, most intense first, 2θ from 15° to 90°:
| Position (°2θ) | I/Imax | (hkl) |
| --- | --- | --- |
| 31.7 | 100 | 2 3 1 |
| 31.2 | 66 | 1 7 0 |
| 31.0 | 58 | 1 4 1 |
| 30.6 | 56 | 4 1 0 |
| 33.7 | 36 | 2 4 1 |
| 36.1 | 30 | 3 3 1 |
| 50.2 | 23 | 0 0 2 |
| 31.4 | 22 | 3 5 0 |
| 31.5 | 21 | 4 2 0 |
| 60.3 | 21 | 1 7 2 |

Cell and atoms:
```
data_La6Tb2Tm5
_cell_length_a 11.798
_cell_length_b 20.720
_cell_length_c 3.635
_cell_angle_alpha 90.00
_cell_angle_beta 90.00
_cell_angle_gamma 90.00
_symmetry_space_group_name_H-M 'P b a m'
_symmetry_Int_Tables_number 55
loop_
_symmetry_equiv_pos_as_xyz
'x,y,z'
'-x,-y,-z'
'-x,-y,z'
'x,y,-z'
'x+1/2,-y+1/2,-z'
'-x+1/2,y+1/2,z'
'-x+1/2,y+1/2,-z'
'x+1/2,-y+1/2,z'
loop_
_atom_site_label
_atom_site_fract_x
_atom_site_fract_y
_atom_site_fract_z
_atom_site_occupancy
La1 0.054 0.080 0.000 1
La2 0.080 0.366 0.000 1
La3 0.176 0.632 0.500 1
Tb1 0.164 0.789 0.000 1
Tm1 0.000 0.500 0.500 1
Tm2 0.095 0.226 0.500 1
Tm3 0.203 0.943 0.500 1
```



Entry 8:
Calculated powder diffraction line list
Compound: La2TbY4Tm2
Radiation: Cu Kα (weighted mean of Kα1 and Kα2)
Structure: a DFT-relaxed cell (GGA-PBE, Alexandria)
Intensities are scaled so that the largest is 100.

Largest 10 diffraction maxima, most intense first, 2θ from 15° to 90°:
| Position (°2θ) | I/Imax | (hkl) |
| --- | --- | --- |
| 30.5 | 100 | 2 1 1 |
| 35.3 | 34 | 1 1 3 |
| 50.8 | 24 | 2 3 2 |
| 60.3 | 21 | 3 3 0 |
| 35.4 | 17 | 2 -1 0 |
| 60.5 | 14 | 3 2 4 |
| 82.8 | 7 | 4 4 3 |
| 60.6 | 7 | 4 0 1 |
| 85.3 | 7 | 3 5 1 |
| 63.3 | 6 | 0 4 2 |

Cell and atoms:
```
data_La2TbY4Tm2
_cell_length_a 6.206
_cell_length_b 6.232
_cell_length_c 8.036
_cell_angle_alpha 82.57
_cell_angle_beta 75.23
_cell_angle_gamma 80.24
_symmetry_space_group_name_H-M 'P -1'
_symmetry_Int_Tables_number 2
loop_
_symmetry_equiv_pos_as_xyz
'x,y,z'
'-x,-y,-z'
loop_
_atom_site_label
_atom_site_fract_x
_atom_site_fract_y
_atom_site_fract_z
_atom_site_occupancy
La1 0.173 0.330 0.333 1
Tb1 0.500 0.000 0.000 1
Y1 0.057 0.110 0.779 1
Y2 0.277 0.553 0.888 1
Tm1 0.391 0.777 0.444 1
```



Entry 9:
Calculated powder diffraction line list
Compound: LaTb2YTm2
Radiation: Cu Kα (weighted mean of Kα1 and Kα2)
Structure: a DFT-relaxed cell (GGA-PBE, Alexandria)
Intensities are scaled so that the largest is 100.

Largest 10 diffraction maxima, most intense first, 2θ from 15° to 90°:
| Position (°2θ) | I/Imax | (hkl) |
| --- | --- | --- |
| 31.6 | 100 | 0 3 1 |
| 31.8 | 22 | 0 0 2 |
| 56.5 | 16 | 0 3 3 |
| 62.7 | 14 | 4 3 1 |
| 45.4 | 13 | 2 2 2 |
| 56.2 | 12 | 0 6 0 |
| 41.1 | 10 | 2 3 1 |
| 25.6 | 9 | 2 0 0 |
| 56.3 | 7 | 2 4 2 |
| 45.2 | 7 | 2 4 0 |

Cell and atoms:
```
data_LaTb2YTm2
_cell_length_a 6.957
_cell_length_b 9.829
_cell_length_c 5.629
_cell_angle_alpha 90.00
_cell_angle_beta 90.00
_cell_angle_gamma 90.00
_symmetry_space_group_name_H-M 'P n n m'
_symmetry_Int_Tables_number 58
loop_
_symmetry_equiv_pos_as_xyz
'x,y,z'
'-x,-y,-z'
'-x,-y,z'
'x,y,-z'
'x+1/2,-y+1/2,-z+1/2'
'-x+1/2,y+1/2,z+1/2'
'-x+1/2,y+1/2,-z+1/2'
'x+1/2,-y+1/2,z+1/2'
loop_
_atom_site_label
_atom_site_fract_x
_atom_site_fract_y
_atom_site_fract_z
_atom_site_occupancy
La1 0.000 0.000 0.000 1
Tb1 0.247 0.334 0.000 1
Y1 0.000 0.500 0.500 1
Tm1 0.249 0.667 0.000 1
```



Entry 10:
Calculated powder diffraction line list
Compound: LaTb2Y6Tm
Radiation: Cu Kα (weighted mean of Kα1 and Kα2)
Structure: a DFT-relaxed cell (GGA-PBE, Alexandria)
Intensities are scaled so that the largest is 100.

Largest 10 diffraction maxima, most intense first, 2θ from 15° to 90°:
| Position (°2θ) | I/Imax | (hkl) |
| --- | --- | --- |
| 31.0 | 100 | 2 2 2 |
| 30.6 | 81 | 0 2 3 |
| 30.4 | 73 | 3 1 -1 |
| 31.5 | 63 | 2 4 -1 |
| 33.9 | 62 | 1 3 -3 |
| 31.2 | 62 | 1 5 0 |
| 28.4 | 59 | 1 3 2 |
| 28.1 | 45 | 2 2 -2 |
| 32.3 | 39 | 1 5 -1 |
| 37.4 | 23 | 3 1 2 |

Cell and atoms:
```
data_LaTb2Y6Tm
_cell_length_a 9.188
_cell_length_b 15.088
_cell_length_c 9.569
_cell_angle_alpha 90.00
_cell_angle_beta 96.55
_cell_angle_gamma 90.00
_symmetry_space_group_name_H-M 'C 1 2/c 1'
_symmetry_Int_Tables_number 15
loop_
_symmetry_equiv_pos_as_xyz
'x,y,z'
'-x,-y,-z'
'-x,y,-z+1/2'
'x,-y,z+1/2'
'x+1/2,y+1/2,z'
'-x+1/2,-y+1/2,-z'
'-x+1/2,y+1/2,-z+1/2'
'x+1/2,-y+1/2,z+1/2'
loop_
_atom_site_label
_atom_site_fract_x
_atom_site_fract_y
_atom_site_fract_z
_atom_site_occupancy
La1 0.000 0.028 0.250 1
Tb1 0.248 0.448 0.449 1
Y1 0.062 0.186 0.942 1
Y2 0.098 0.391 0.114 1
Y3 0.213 0.225 0.317 1
Tm1 0.000 0.411 0.750 1
```



Entry 11:
Calculated powder diffraction line list
Compound: LaTb6Y2Tm
Radiation: Cu Kα (weighted mean of Kα1 and Kα2)
Structure: a DFT-relaxed cell (GGA-PBE, Alexandria)
Intensities are scaled so that the largest is 100.

Largest 10 diffraction maxima, most intense first, 2θ from 15° to 90°:
| Position (°2θ) | I/Imax | (hkl) |
| --- | --- | --- |
| 30.1 | 100 | 3 1 -1 |
| 31.1 | 84 | 0 2 3 |
| 30.4 | 78 | 2 2 2 |
| 31.4 | 66 | 1 5 0 |
| 31.7 | 62 | 2 4 -1 |
| 28.3 | 62 | 1 3 2 |
| 34.7 | 52 | 1 3 -3 |
| 30.6 | 39 | 2 4 0 |
| 35.6 | 37 | 2 2 -3 |
| 28.6 | 26 | 2 2 -2 |

Cell and atoms:
```
data_LaTb6Y2Tm
_cell_length_a 9.389
_cell_length_b 14.976
_cell_length_c 9.355
_cell_angle_alpha 90.00
_cell_angle_beta 94.11
_cell_angle_gamma 90.00
_symmetry_space_group_name_H-M 'C 1 2/c 1'
_symmetry_Int_Tables_number 15
loop_
_symmetry_equiv_pos_as_xyz
'x,y,z'
'-x,-y,-z'
'-x,y,-z+1/2'
'x,-y,z+1/2'
'x+1/2,y+1/2,z'
'-x+1/2,-y+1/2,-z'
'-x+1/2,y+1/2,-z+1/2'
'x+1/2,-y+1/2,z+1/2'
loop_
_atom_site_label
_atom_site_fract_x
_atom_site_fract_y
_atom_site_fract_z
_atom_site_occupancy
La1 0.000 0.041 0.250 1
Tb1 0.061 0.178 0.940 1
Tb2 0.091 0.382 0.111 1
Tb3 0.224 0.226 0.318 1
Y1 0.245 0.450 0.444 1
Tm1 0.000 0.413 0.750 1
```



Entry 12:
Calculated powder diffraction line list
Compound: La2Tb9Y3
Radiation: Cu Kα (weighted mean of Kα1 and Kα2)
Structure: a DFT-relaxed cell (GGA-PBE, Alexandria)
Intensities are scaled so that the largest is 100.

Largest 10 diffraction maxima, most intense first, 2θ from 15° to 90°:
| Position (°2θ) | I/Imax | (hkl) |
| --- | --- | --- |
| 31.6 | 100 | 2 0 -2 |
| 32.4 | 49 | 1 3 1 |
| 30.8 | 26 | 3 3 0 |
| 44.7 | 19 | 5 3 -2 |
| 63.4 | 15 | 4 6 1 |
| 56.2 | 12 | 2 0 3 |
| 56.8 | 10 | 1 3 -3 |
| 57.8 | 9 | 5 3 2 |
| 47.0 | 9 | 7 3 0 |
| 54.7 | 9 | 9 3 -1 |

Cell and atoms:
```
data_La2Tb9Y3
_cell_length_a 17.311
_cell_length_b 10.289
_cell_length_c 5.658
_cell_angle_alpha 90.00
_cell_angle_beta 109.02
_cell_angle_gamma 90.00
_symmetry_space_group_name_H-M 'C 1 m 1'
_symmetry_Int_Tables_number 8
loop_
_symmetry_equiv_pos_as_xyz
'x,y,z'
'x,-y,z'
'x+1/2,y+1/2,z'
'x+1/2,-y+1/2,z'
loop_
_atom_site_label
_atom_site_fract_x
_atom_site_fract_y
_atom_site_fract_z
_atom_site_occupancy
La1 0.000 0.198 0.000 1
Tb1 0.096 0.336 0.597 1
Tb2 0.196 0.338 0.196 1
Tb3 0.287 0.167 0.787 1
Tb4 0.389 0.327 0.390 1
Tb5 0.410 0.000 0.408 1
Y1 0.080 0.000 0.581 1
Y2 0.202 0.000 0.202 1
Y3 0.300 0.500 0.800 1
```